Diffraction record for Na3V5O10. The powder diffraction line list is theoretical, not measured: it uses DFT lattice parameters and positions (GGA+U) and Cu Kα X-rays.
Peak positions follow from Bragg's law for the DFT cell and can differ from measured ones.

Structure:
```
data_Na3V5O10
_chemical_formula_sum 'Na6 V10 O20'
_symmetry_space_group_name_H-M 'P 1'
_symmetry_Int_Tables_number 1
_symmetry_space_group_name_Hall 'P 1'
_cell_length_a 5.1338
_cell_length_b 8.0602
_cell_length_c 11.2482
_cell_angle_alpha 82.00
_cell_angle_beta 86.61
_cell_angle_gamma 71.46
loop_
_atom_site_label
_atom_site_fract_x
_atom_site_fract_y
_atom_site_fract_z
_atom_site_occupancy
Na1 0.0000 0.0000 0.0000 1
Na2 0.0981 0.2921 0.5026 1
Na3 0.3026 0.8960 0.5009 1
Na4 0.4999 0.5001 0.5000 1
Na5 0.5986 0.7921 0.0026 1
Na6 0.8027 0.3963 0.0006 1
V1 0.0525 0.1447 0.2501 1
V2 0.1505 0.4427 0.7548 1
V3 0.2466 0.7459 0.2486 1
V4 0.3562 0.0490 0.7545 1
V5 0.4496 0.3477 0.2469 1
V6 0.5521 0.6452 0.7501 1
V7 0.6505 0.9432 0.2550 1
V8 0.7469 0.2447 0.7484 1
V9 0.8557 0.5488 0.2544 1
V10 0.9496 0.8481 0.7471 1
O1 0.0432 0.0640 0.6579 1
O2 0.0767 0.2244 0.8474 1
O3 0.1104 0.3661 0.1607 1
O4 0.1641 0.5230 0.3478 1
O5 0.2422 0.6635 0.6577 1
O6 0.2805 0.8320 0.8452 1
O7 0.3190 0.9674 0.1547 1
O8 0.3568 0.1316 0.3447 1
O9 0.4165 0.2615 0.6542 1
O10 0.4904 0.4301 0.8405 1
O11 0.5434 0.5638 0.1580 1
O12 0.5770 0.7247 0.3473 1
O13 0.6101 0.8660 0.6610 1
O14 0.6640 0.0228 0.8483 1
O15 0.7427 0.1634 0.1575 1
O16 0.7799 0.3320 0.3453 1
O17 0.8178 0.4675 0.6552 1
O18 0.8572 0.6318 0.8443 1
O19 0.9162 0.7619 0.1545 1
O20 0.9894 0.9300 0.3416 1
```

Most intense lines, 2θ = 10–90°, low angle first:
(hkl), 2θ/deg, I/Imax
0 0 2, 15.9, 100
0 0 4, 32.1, 11
-1 2 1, 34.5, 11
1 3 -2, 40.3, 30
-1 2 3, 40.5, 30
2 1 3, 41.6, 27
1 3 -4, 51.3, 6
2 1 -5, 56.3, 15
1 3 6, 56.8, 7
0 5 1, 60.6, 8
3 -1 0, 62.2, 7
3 4 1, 62.2, 7

***

Diffraction record for Li2MnPHO5. The powder diffraction line list is theoretical, not measured: it uses DFT lattice parameters and positions (GGA+U) and Cu Kα X-rays.
Peak positions follow from Bragg's law for the DFT cell and can differ from measured ones.

Structure:
```
data_Li2MnPHO5
_chemical_formula_sum 'Li4 Mn2 P2 H2 O10'
_symmetry_space_group_name_H-M 'P 1'
_symmetry_Int_Tables_number 1
_symmetry_space_group_name_Hall 'P 1'
_cell_length_a 5.2404
_cell_length_b 5.7005
_cell_length_c 7.7827
_cell_angle_alpha 108.52
_cell_angle_beta 107.77
_cell_angle_gamma 95.69
loop_
_atom_site_label
_atom_site_fract_x
_atom_site_fract_y
_atom_site_fract_z
_atom_site_occupancy
Li1 0.0000 0.0000 0.0000 1
Li2 0.0325 0.7817 0.2661 1
Li3 0.4741 0.9972 0.7023 1
Li4 0.7862 0.2701 0.6011 1
Mn1 0.2385 0.3968 0.4118 1
Mn2 0.2922 0.4287 0.9372 1
P1 0.5754 0.0262 0.1686 1
P2 0.9036 0.7784 0.6339 1
H1 0.5862 0.4843 0.7578 1
H2 0.8839 0.3689 0.0721 1
O1 0.0831 0.4383 0.1325 1
O2 0.1112 0.7634 0.5279 1
O3 0.3129 0.0197 0.2236 1
O4 0.4365 0.3329 0.6832 1
O5 0.5430 0.1472 0.0104 1
O6 0.6042 0.6742 0.4968 1
O7 0.6287 0.7564 0.0839 1
O8 0.8314 0.1773 0.3538 1
O9 0.9257 0.0648 0.7558 1
O10 0.9768 0.6389 0.7812 1
```

Most intense lines, 2θ = 10–90°, low angle first:
(hkl), 2θ/deg, I/Imax
1 0 -1, 18.2, 48
1 -1 0, 22.0, 27
0 1 -2, 25.1, 100
-1 1 1, 25.4, 25
1 0 -2, 25.8, 81
1 0 1, 25.9, 20
1 1 0, 27.5, 78
-1 1 2, 33.9, 31
2 0 -1, 34.4, 37
1 -2 0, 35.0, 45
2 1 -2, 40.0, 28
2 0 2, 53.2, 22

***

Diffraction record for Li9Mn2Co5O16. The powder diffraction line list is theoretical, not measured: it uses DFT lattice parameters and positions (GGA+U) and Cu Kα X-rays.
Peak positions follow from Bragg's law for the DFT cell and can differ from measured ones.

Structure:
```
data_Li9Mn2Co5O16
_chemical_formula_sum 'Li9 Mn2 Co5 O16'
_symmetry_space_group_name_H-M 'P 1'
_symmetry_Int_Tables_number 1
_symmetry_space_group_name_Hall 'P 1'
_cell_length_a 5.8134
_cell_length_b 5.8724
_cell_length_c 8.2926
_cell_angle_alpha 91.02
_cell_angle_beta 90.17
_cell_angle_gamma 90.64
loop_
_atom_site_label
_atom_site_fract_x
_atom_site_fract_y
_atom_site_fract_z
_atom_site_occupancy
Li1 0.0000 0.0000 0.0000 1
Li2 0.0006 0.4991 0.5012 1
Li3 0.0031 0.9962 0.4980 1
Li4 0.2419 0.2404 0.2601 1
Li5 0.2438 0.7470 0.7365 1
Li6 0.4953 0.9972 0.9920 1
Li7 0.4979 0.4942 0.4988 1
Li8 0.7529 0.2438 0.2597 1
Li9 0.7571 0.7514 0.7374 1
Mn1 0.4959 0.4928 0.0014 1
Mn2 0.7530 0.7515 0.2558 1
Co1 0.2399 0.2360 0.7361 1
Co2 0.2447 0.7529 0.2582 1
Co3 0.5001 0.9938 0.4978 1
Co4 0.7532 0.2426 0.7335 1
Co5 0.9979 0.4955 0.9945 1
O1 0.0003 0.4891 0.7465 1
O2 0.0047 0.0159 0.7591 1
O3 0.2561 0.2657 0.0045 1
O4 0.2557 0.7240 0.0206 1
O5 0.2661 0.7601 0.4789 1
O6 0.2705 0.2276 0.5038 1
O7 0.4898 0.4820 0.7684 1
O8 0.4975 0.0005 0.7316 1
O9 0.5028 0.9735 0.2615 1
O10 0.5141 0.5081 0.2354 1
O11 0.7341 0.2326 0.5118 1
O12 0.7361 0.2683 0.9878 1
O13 0.7360 0.7288 0.0123 1
O14 0.7365 0.7584 0.4830 1
O15 0.9836 0.9809 0.2434 1
O16 0.9940 0.5284 0.2538 1
```

Most intense lines, 2θ = 10–90°, low angle first:
(hkl), 2θ/deg, I/Imax
0 1 -1, 18.4, 100
-2 1 1, 36.0, 14
0 1 3, 36.2, 13
2 1 1, 36.4, 12
2 0 2, 37.9, 7
2 -2 0, 43.6, 53
2 2 0, 44.1, 26
2 -1 3, 47.8, 8
2 -3 1, 57.4, 9
2 -2 4, 63.0, 7
0 4 0, 63.3, 14
4 0 0, 64.1, 7

***

Diffraction record for Li2TiCo3O8. The powder diffraction line list is theoretical, not measured: it uses DFT lattice parameters and positions (GGA+U) and Cu Kα X-rays.
Peak positions follow from Bragg's law for the DFT cell and can differ from measured ones.

Structure:
```
data_Li2TiCo3O8
_chemical_formula_sum 'Li8 Ti4 Co12 O32'
_symmetry_space_group_name_H-M 'C 1 c 1'
_symmetry_Int_Tables_number 9
_symmetry_space_group_name_Hall 'C -2yc'
_cell_length_a 5.7171
_cell_length_b 9.8998
_cell_length_c 9.2432
_cell_angle_alpha 90.00
_cell_angle_beta 90.06
_cell_angle_gamma 90.00
loop_
_atom_site_label
_atom_site_fract_x
_atom_site_fract_y
_atom_site_fract_z
_atom_site_occupancy
Li1 0.0000 0.9995 0.0000 1
Li2 0.0006 0.3328 0.3906 1
Ti1 0.4926 0.1667 0.4992 1
Co1 0.2432 0.4149 0.7181 1
Co2 0.2543 0.0851 0.2176 1
Co3 0.4988 0.3298 0.2174 1
O1 0.0006 0.3341 0.6130 1
O2 0.0014 0.4807 0.8376 1
O3 0.2215 0.2607 0.8377 1
O4 0.2495 0.0831 0.6014 1
O5 0.2510 0.4186 0.1032 1
O6 0.2793 0.2402 0.3391 1
O7 0.4971 0.4993 0.8096 1
O8 0.4978 0.3351 0.6030 1
```

Most intense lines, 2θ = 10–90°, low angle first:
(hkl), 2θ/deg, I/Imax
0 0 2, 19.2, 98
1 1 1, 20.4, 100
1 1 2, 26.4, 28
1 1 -3, 34.3, 40
1 3 2, 37.0, 49
2 2 -1, 37.6, 68
2 2 -2, 41.4, 45
2 2 3, 47.1, 68
2 2 4, 54.3, 22
2 4 -3, 57.6, 20
2 2 -5, 62.7, 50
4 0 0, 65.3, 43

***

Diffraction record for ZnAsWO5. The powder diffraction line list is theoretical, not measured: it uses DFT lattice parameters and positions (GGA+U) and Cu Kα X-rays.
Peak positions follow from Bragg's law for the DFT cell and can differ from measured ones.

Structure:
```
data_ZnAsWO5
_chemical_formula_sum 'Zn4 As4 W4 O20'
_symmetry_space_group_name_H-M 'P 1 21 1'
_symmetry_Int_Tables_number 4
_symmetry_space_group_name_Hall 'P 2yb'
_cell_length_a 6.6357
_cell_length_b 8.2987
_cell_length_c 8.9556
_cell_angle_alpha 90.00
_cell_angle_beta 90.57
_cell_angle_gamma 90.00
loop_
_atom_site_label
_atom_site_fract_x
_atom_site_fract_y
_atom_site_fract_z
_atom_site_occupancy
Zn1 0.1206 0.0000 0.0797 1
Zn2 0.3686 0.1660 0.5738 1
As1 0.2099 0.5141 0.6099 1
As2 0.2950 0.6512 0.1122 1
W1 0.0639 0.8606 0.7362 1
W2 0.4358 0.3040 0.2353 1
O1 0.0622 0.4910 0.1058 1
O2 0.0927 0.6191 0.7743 1
O3 0.1669 0.9904 0.5934 1
O4 0.1734 0.8085 0.1986 1
O5 0.1946 0.2943 0.3714 1
O6 0.3098 0.8703 0.8699 1
O7 0.3242 0.1758 0.0925 1
O8 0.3325 0.3568 0.6973 1
O9 0.4108 0.5454 0.2768 1
O10 0.4397 0.6724 0.6061 1
```

Most intense lines, 2θ = 10–90°, low angle first:
(hkl), 2θ/deg, I/Imax
0 1 1, 14.6, 100
0 0 2, 19.8, 28
1 0 -2, 23.9, 14
1 0 2, 24.1, 14
1 2 0, 25.3, 20
2 1 0, 29.0, 21
0 2 2, 29.3, 34
2 1 -1, 30.6, 18
2 1 1, 30.8, 18
0 1 3, 31.9, 27
0 3 1, 33.9, 23
1 3 1, 36.6, 15

***

Diffraction record for Li4Mn3Nb3Te2O16. The powder diffraction line list is theoretical, not measured: it uses DFT lattice parameters and positions (GGA+U) and Cu Kα X-rays.
Peak positions follow from Bragg's law for the DFT cell and can differ from measured ones.

Structure:
```
data_Li4Mn3Nb3Te2O16
_chemical_formula_sum 'Li8 Mn6 Nb6 Te4 O32'
_symmetry_space_group_name_H-M 'C 1 m 1'
_symmetry_Int_Tables_number 8
_symmetry_space_group_name_Hall 'C -2y'
_cell_length_a 11.1061
_cell_length_b 6.1289
_cell_length_c 10.5471
_cell_angle_alpha 90.00
_cell_angle_beta 90.46
_cell_angle_gamma 90.00
loop_
_atom_site_label
_atom_site_fract_x
_atom_site_fract_y
_atom_site_fract_z
_atom_site_occupancy
Li1 0.0000 0.0000 0.0000 1
Li2 0.0036 0.0000 0.5094 1
Li3 0.1607 0.5000 0.5893 1
Li4 0.3298 0.0000 0.0912 1
Mn1 0.3368 0.5000 0.2843 1
Mn2 0.4159 0.2458 0.7805 1
Nb1 0.0936 0.2595 0.2733 1
Nb2 0.1806 0.0000 0.7593 1
Te1 0.1712 0.5000 0.9779 1
Te2 0.3591 0.0000 0.4962 1
O1 0.0015 0.0000 0.1823 1
O2 0.0036 0.5000 0.1705 1
O3 0.0125 0.0000 0.6930 1
O4 0.0892 0.2534 0.8916 1
O5 0.1369 0.0000 0.3879 1
O6 0.1596 0.5000 0.3947 1
O7 0.2343 0.2505 0.1746 1
O8 0.2451 0.2305 0.6609 1
O9 0.3144 0.0000 0.8873 1
O10 0.3316 0.5000 0.9006 1
O11 0.4314 0.2471 0.4042 1
O12 0.4777 0.0000 0.6341 1
```

Most intense lines, 2θ = 10–90°, low angle first:
(hkl), 2θ/deg, I/Imax
0 0 2, 16.8, 51
2 0 1, 18.1, 56
1 1 1, 18.6, 100
1 1 2, 23.7, 47
1 1 -3, 30.3, 45
3 1 -2, 32.9, 35
3 1 2, 33.1, 33
4 0 -1, 33.3, 32
0 2 2, 33.8, 34
2 2 -1, 34.5, 65
2 2 5, 55.5, 26
6 2 0, 58.2, 32

***

Diffraction record for Li3Co2O5. The powder diffraction line list is theoretical, not measured: it uses DFT lattice parameters and positions (GGA+U) and Cu Kα X-rays.
Peak positions follow from Bragg's law for the DFT cell and can differ from measured ones.

Structure:
```
data_Li3Co2O5
_chemical_formula_sum 'Li12 Co8 O20'
_symmetry_space_group_name_H-M 'C 1 2/m 1'
_symmetry_Int_Tables_number 12
_symmetry_space_group_name_Hall '-C 2y'
_cell_length_a 15.3635
_cell_length_b 2.9902
_cell_length_c 7.9472
_cell_angle_alpha 90.00
_cell_angle_beta 103.94
_cell_angle_gamma 90.00
loop_
_atom_site_label
_atom_site_fract_x
_atom_site_fract_y
_atom_site_fract_z
_atom_site_occupancy
Li1 0.0000 0.0000 0.0000 1
Li2 0.0000 0.0000 0.5000 1
Li3 0.0974 0.5000 0.2908 1
Li4 0.1981 0.0000 0.0957 1
Co1 0.0948 0.5000 0.8048 1
Co2 0.1996 0.0000 0.6008 1
O1 0.0077 0.0000 0.7533 1
O2 0.1014 0.5000 0.0266 1
O3 0.1042 0.5000 0.5702 1
O4 0.1952 0.0000 0.8368 1
O5 0.2019 0.0000 0.3608 1
```

Most intense lines, 2θ = 10–90°, low angle first:
(hkl), 2θ/deg, I/Imax
0 0 1, 11.5, 13
2 0 0, 11.9, 10
2 0 -1, 14.4, 10
2 0 1, 18.4, 100
3 1 -1, 35.5, 32
4 0 -3, 37.4, 14
5 1 0, 42.8, 64
2 0 -4, 45.7, 25
7 1 1, 56.6, 9
0 2 0, 62.1, 9
3 1 4, 63.9, 15
7 1 -4, 64.9, 14

***

Diffraction record for LiV2C4O12. The powder diffraction line list is theoretical, not measured: it uses DFT lattice parameters and positions (GGA+U) and Cu Kα X-rays.
Peak positions follow from Bragg's law for the DFT cell and can differ from measured ones.

Structure:
```
data_LiV2C4O12
_chemical_formula_sum 'Li1 V2 C4 O12'
_symmetry_space_group_name_H-M 'P 1'
_symmetry_Int_Tables_number 1
_symmetry_space_group_name_Hall 'P 1'
_cell_length_a 5.7327
_cell_length_b 6.5056
_cell_length_c 8.1449
_cell_angle_alpha 85.73
_cell_angle_beta 74.66
_cell_angle_gamma 67.27
loop_
_atom_site_label
_atom_site_fract_x
_atom_site_fract_y
_atom_site_fract_z
_atom_site_occupancy
Li1 0.0000 0.0000 0.0000 1
V1 0.6026 0.0282 0.6863 1
V2 0.8309 0.4921 0.1843 1
C1 0.1576 0.3949 0.9082 1
C2 0.5708 0.8583 0.9745 1
C3 0.7411 0.1430 0.4004 1
C4 0.7618 0.6338 0.4634 1
O1 0.1460 0.5287 0.0250 1
O2 0.3444 0.3307 0.7754 1
O3 0.3803 0.9088 0.9044 1
O4 0.5313 0.1050 0.4420 1
O5 0.5740 0.7461 0.1130 1
O6 0.5844 0.5891 0.4217 1
O7 0.7413 0.7121 0.6067 1
O8 0.7547 0.9310 0.9014 1
O9 0.8327 0.1968 0.2412 1
O10 0.8689 0.1207 0.5140 1
O11 0.9585 0.3321 0.9479 1
O12 0.9778 0.5896 0.3371 1
```

Most intense lines, 2θ = 10–90°, low angle first:
(hkl), 2θ/deg, I/Imax
1 0 0, 17.4, 96
1 1 0, 18.0, 56
1 0 1, 18.1, 100
0 1 -1, 18.3, 39
0 1 1, 18.9, 50
1 1 1, 19.0, 78
1 -1 0, 26.9, 16
1 -1 1, 27.2, 16
0 2 -1, 31.6, 24
0 2 1, 32.3, 20
2 2 -1, 40.8, 12
2 0 3, 42.7, 15

***

Diffraction record for Mn3Cr3O8. The powder diffraction line list is theoretical, not measured: it uses DFT lattice parameters and positions (GGA+U) and Cu Kα X-rays.
Peak positions follow from Bragg's law for the DFT cell and can differ from measured ones.

Structure:
```
data_Mn3Cr3O8
_chemical_formula_sum 'Mn6 Cr6 O16'
_symmetry_space_group_name_H-M 'P 1'
_symmetry_Int_Tables_number 1
_symmetry_space_group_name_Hall 'P 1'
_cell_length_a 6.0729
_cell_length_b 6.1138
_cell_length_c 10.4772
_cell_angle_alpha 74.55
_cell_angle_beta 73.21
_cell_angle_gamma 60.23
loop_
_atom_site_label
_atom_site_fract_x
_atom_site_fract_y
_atom_site_fract_z
_atom_site_occupancy
Mn1 0.0000 0.0000 0.0000 1
Mn2 0.1293 0.1134 0.6260 1
Mn3 0.3152 0.3063 0.0629 1
Mn4 0.5005 0.4995 0.5001 1
Mn5 0.6302 0.6127 0.1257 1
Mn6 0.8152 0.8064 0.5625 1
Cr1 0.0647 0.5567 0.8127 1
Cr2 0.0656 0.0559 0.3132 1
Cr3 0.0656 0.5557 0.3130 1
Cr4 0.5651 0.0559 0.3132 1
Cr5 0.5648 0.0569 0.8126 1
Cr6 0.5648 0.5568 0.8127 1
O1 0.1497 0.7083 0.4330 1
O2 0.1936 0.1959 0.4171 1
O3 0.2045 0.6687 0.9220 1
O4 0.2092 0.2093 0.9330 1
O5 0.4213 0.4034 0.1926 1
O6 0.4258 0.9441 0.2035 1
O7 0.4364 0.4172 0.7086 1
O8 0.4805 0.9045 0.6926 1
O9 0.6488 0.2092 0.9330 1
O10 0.6927 0.6967 0.9173 1
O11 0.7053 0.1677 0.4225 1
O12 0.7095 0.7084 0.4330 1
O13 0.9207 0.9042 0.6926 1
O14 0.9245 0.4448 0.7043 1
O15 0.9370 0.9166 0.2088 1
O16 0.9816 0.4034 0.1925 1
```

Most intense lines, 2θ = 10–90°, low angle first:
(hkl), 2θ/deg, I/Imax
1 2 1, 29.2, 66
0 1 -3, 34.1, 87
2 2 2, 34.6, 100
1 2 3, 34.8, 100
0 2 -2, 41.2, 23
2 2 4, 42.3, 42
0 2 -4, 54.5, 36
3 3 4, 55.7, 39
-2 1 3, 56.0, 33
2 0 6, 60.5, 48
2 4 2, 60.6, 48
4 2 2, 61.0, 23